Starting from a cell relaxed with PBE, the powder diffraction line list of Mg3Ti was calculated for λ = 1.5418 Å (Cu Kα).
No peak broadening, texture or thermal motion is included.

Structural model:
```
Mg3Ti
1.0
3.067 0.000 0.000
0.000 5.050 0.000
0.000 0.000 5.475
Mg Ti
3 1
Direct
0.000 0.000 0.000
0.000 0.500 0.341
0.500 0.000 0.523
0.500 0.500 0.844
```

Most intense lines, 5° ≤ 2θ ≤ 70°, in order of rising 2θ:
| h k l | Position (°2θ) | d_spacing | I_rel |
| --- | --- | --- | --- |
| 0 0 1 | 16.19 | 5.475 | 12.8 |
| 0 1 0 | 17.56 | 5.050 | 8.0 |
| 0 0 2 | 32.72 | 2.737 | 13.5 |
| 1 0 1 | 33.49 | 2.676 | 26.6 |
| 0 2 0 | 35.56 | 2.525 | 40.5 |
| 0 1 2 | 37.37 | 2.406 | 53.4 |
| 1 1 1 | 38.06 | 2.364 | 100.0 |
| 0 2 2 | 49.09 | 1.856 | 8.0 |
| 1 2 1 | 49.64 | 1.836 | 16.3 |
| 1 0 3 | 58.89 | 1.568 | 16.8 |
| 0 3 2 | 65.05 | 1.434 | 9.4 |
| 1 3 1 | 65.51 | 1.425 | 18.1 |